No. 1
For Ca2Pm3Pt4, a DFT-relaxed cell (PBE, Alexandria) gives the simulated powder X-ray diffraction pattern in this record (copper Kα).
Neutral-atom scattering factors, no anomalous dispersion.

Cell and atoms:
```
data_Ca2Pm3Pt4
_space_group_name_H-M_alt 'P 1 21/c 1'
_space_group_IT_number 14
_space_group_name_Hall '-P 2ybc'
_cell_length_a 7.9018
_cell_length_b 7.8326
_cell_length_c 7.7457
_cell_angle_alpha 90.00
_cell_angle_beta 109.48
_cell_angle_gamma 90.00
loop_
_atom_site_label
_atom_site_fract_x
_atom_site_fract_y
_atom_site_fract_z
Ca1 0.1971 0.1783 0.0793
Pm1 0.2384 0.6668 0.2496
Pm2 0.5000 0.0000 0.5000
Pt1 0.0944 0.5336 0.8685
Pt2 0.4979 0.6298 0.6278
```

Main lines, sorted by position (2θ = 10–90°):
2θ/deg	intensity	h k l
30.2	44	2 1 -2
32.5	100	2 2 -1
32.8	91	1 1 2
36.5	47	0 3 1
36.6	90	1 1 -3
38.2	43	3 1 -2

***

No. 2
For Ca3PmPt2, a DFT-relaxed cell (PBE, Alexandria) gives the simulated powder X-ray diffraction pattern in this record (copper Kα).
Neutral-atom scattering factors, no anomalous dispersion.

Cell and atoms:
```
data_Ca3PmPt2
_space_group_name_H-M_alt 'P m c 21'
_space_group_IT_number 26
_space_group_name_Hall 'P 2c -2'
_cell_length_a 4.5388
_cell_length_b 9.2764
_cell_length_c 7.5719
_cell_angle_alpha 90.00
_cell_angle_beta 90.00
_cell_angle_gamma 90.00
loop_
_atom_site_label
_atom_site_fract_x
_atom_site_fract_y
_atom_site_fract_z
Ca1 0.0000 0.0873 0.0000
Ca2 0.0000 0.3148 0.3808
Ca3 0.5000 0.1759 0.6665
Pm1 0.5000 0.4152 0.0426
Pt1 0.0000 0.3741 0.7763
Pt2 0.5000 0.1442 0.2584
```

Main lines, sorted by position (2θ = 10–90°):
2θ/deg	intensity	h k l
22.5	69	0 2 1
24.8	67	1 1 1
32.3	100	1 1 2
35.1	34	1 3 0
39.7	35	2 0 0
40.7	37	0 2 3

***

No. 3
For CaPmPt10, a DFT-relaxed cell (PBE, Alexandria) gives the simulated powder X-ray diffraction pattern in this record (copper Kα).
Neutral-atom scattering factors, no anomalous dispersion.

Cell and atoms:
```
data_CaPmPt10
_space_group_name_H-M_alt 'P m m m'
_space_group_IT_number 47
_space_group_name_Hall '-P 2 2'
_cell_length_a 4.4308
_cell_length_b 5.4186
_cell_length_c 9.3231
_cell_angle_alpha 90.00
_cell_angle_beta 90.00
_cell_angle_gamma 90.00
loop_
_atom_site_label
_atom_site_fract_x
_atom_site_fract_y
_atom_site_fract_z
Ca1 0.0000 0.0000 0.0000
Pm1 0.0000 0.5000 0.5000
Pt1 0.0000 0.0000 0.3328
Pt2 0.0000 0.5000 0.1661
Pt3 0.5000 0.0000 0.5000
Pt4 0.5000 0.2514 0.2517
Pt5 0.5000 0.5000 0.0000
```

Main lines, sorted by position (2θ = 10–90°):
2θ/deg	intensity	h k l
19.0	84	0 1 1
39.0	51	1 2 0
39.1	100	1 1 3
40.7	55	2 0 0
43.7	74	1 2 2
43.9	37	1 0 4

***

No. 4
For Ca4PmRh2, a DFT-relaxed cell (PBE, Alexandria) gives the simulated powder X-ray diffraction pattern in this record (copper Kα).
Neutral-atom scattering factors, no anomalous dispersion.

Cell and atoms:
```
data_Ca4PmRh2
_space_group_name_H-M_alt 'P 1 21/m 1'
_space_group_IT_number 11
_space_group_name_Hall '-P 2yb'
_cell_length_a 8.0574
_cell_length_b 6.3819
_cell_length_c 8.1979
_cell_angle_alpha 90.00
_cell_angle_beta 112.35
_cell_angle_gamma 90.00
loop_
_atom_site_label
_atom_site_fract_x
_atom_site_fract_y
_atom_site_fract_z
Ca1 0.1153 0.2500 0.4778
Ca2 0.1593 0.7500 0.2337
Ca3 0.2655 0.5008 0.9204
Pm1 0.4735 0.2500 0.3534
Rh1 0.1053 0.2500 0.1327
Rh2 0.4753 0.2500 0.7317
```

Main lines, sorted by position (2θ = 10–90°):
2θ/deg	intensity	h k l
11.9	59	1 0 0
13.1	100	1 0 -1
28.0	77	0 2 0
30.5	68	2 0 1
31.0	65	1 2 -1
37.1	64	2 2 0

***

No. 5
For CaPm2Rh, a DFT-relaxed cell (PBE, Alexandria) gives the simulated powder X-ray diffraction pattern in this record (copper Kα).
Neutral-atom scattering factors, no anomalous dispersion.

Cell and atoms:
```
data_CaPm2Rh
_space_group_name_H-M_alt 'P n n a'
_space_group_IT_number 52
_space_group_name_Hall '-P 2a 2bc'
_cell_length_a 6.8508
_cell_length_b 6.4068
_cell_length_c 11.8847
_cell_angle_alpha 90.00
_cell_angle_beta 90.00
_cell_angle_gamma 90.00
loop_
_atom_site_label
_atom_site_fract_x
_atom_site_fract_y
_atom_site_fract_z
Ca1 0.0683 0.2500 0.2500
Pm1 0.0838 0.2431 0.5848
Rh1 0.2500 0.0000 0.4179
```

Main lines, sorted by position (2θ = 10–90°):
2θ/deg	intensity	h k l
14.9	23	0 0 2
15.7	20	0 1 1
29.6	100	1 1 3
38.5	43	2 2 0
45.8	34	0 0 6
50.3	22	1 3 3

***

No. 6
For CaPm7Rh4, a DFT-relaxed cell (PBE, Alexandria) gives the simulated powder X-ray diffraction pattern in this record (copper Kα).
Neutral-atom scattering factors, no anomalous dispersion.

Cell and atoms:
```
data_CaPm7Rh4
_space_group_name_H-M_alt 'C 1 2/m 1'
_space_group_IT_number 12
_space_group_name_Hall '-C 2y'
_cell_length_a 13.7781
_cell_length_b 5.6443
_cell_length_c 9.9852
_cell_angle_alpha 90.00
_cell_angle_beta 125.17
_cell_angle_gamma 90.00
loop_
_atom_site_label
_atom_site_fract_x
_atom_site_fract_y
_atom_site_fract_z
Ca1 0.0000 0.0000 0.0000
Pm1 0.0000 0.5000 0.0000
Pm2 0.0841 0.0000 0.3864
Pm3 0.1691 0.5000 0.6213
Pm4 0.2116 0.0000 0.8757
Rh1 0.0669 0.5000 0.7843
Rh2 0.1967 0.5000 0.3295
```

Main lines, sorted by position (2θ = 10–90°):
2θ/deg	intensity	h k l
26.9	27	4 0 -1
29.7	28	4 0 -3
31.6	75	3 1 -3
31.7	100	0 2 0
35.3	94	3 1 1
37.7	68	5 1 -3

***

No. 7
For CaPm4S7, a DFT-relaxed cell (PBE, Alexandria) gives the simulated powder X-ray diffraction pattern in this record (copper Kα).
Neutral-atom scattering factors, no anomalous dispersion.

Cell and atoms:
```
data_CaPm4S7
_space_group_name_H-M_alt 'C 1 m 1'
_space_group_IT_number 8
_space_group_name_Hall 'C -2y'
_cell_length_a 13.2122
_cell_length_b 3.9511
_cell_length_c 11.8621
_cell_angle_alpha 90.00
_cell_angle_beta 105.12
_cell_angle_gamma 90.00
loop_
_atom_site_label
_atom_site_fract_x
_atom_site_fract_y
_atom_site_fract_z
Ca1 0.0000 0.0000 0.0000
Pm1 0.1213 0.0000 0.4187
Pm2 0.2284 0.0000 0.8479
Pm3 0.3151 0.5000 0.2281
Pm4 0.4276 0.0000 0.6235
S1 0.0766 0.0000 0.6340
S2 0.1039 0.5000 0.9039
S3 0.1617 0.0000 0.2039
S4 0.2805 0.5000 0.4736
S5 0.3514 0.5000 0.7725
S6 0.3742 0.0000 0.0710
S7 0.4620 0.0000 0.3734
```

Main lines, sorted by position (2θ = 10–90°):
2θ/deg	intensity	h k l
23.4	100	2 0 2
23.8	88	2 0 -3
30.9	54	3 1 0
32.1	59	3 1 -2
33.2	57	3 1 1
45.9	59	0 2 0

***

No. 8
For Ca2PmSb, a DFT-relaxed cell (PBE, Alexandria) gives the simulated powder X-ray diffraction pattern in this record (copper Kα).
Neutral-atom scattering factors, no anomalous dispersion.

Cell and atoms:
```
data_Ca2PmSb
_space_group_name_H-M_alt 'P 4/m m m'
_space_group_IT_number 123
_space_group_name_Hall '-P 4 2'
_cell_length_a 4.8714
_cell_length_b 4.8714
_cell_length_c 5.1803
_cell_angle_alpha 90.00
_cell_angle_beta 90.00
_cell_angle_gamma 90.00
loop_
_atom_site_label
_atom_site_fract_x
_atom_site_fract_y
_atom_site_fract_z
Ca1 0.0000 0.5000 0.0000
Pm1 0.0000 0.0000 0.5000
Sb1 0.5000 0.5000 0.5000
```

Main lines, sorted by position (2θ = 10–90°):
2θ/deg	intensity	h k l
17.1	28	0 0 1
25.9	21	1 1 0
31.2	100	1 1 1
36.9	31	2 0 0
51.5	24	2 0 2
62.9	25	3 1 1

***

No. 9
For CaPmSbTe, a DFT-relaxed cell (PBE, Alexandria) gives the simulated powder X-ray diffraction pattern in this record (copper Kα).
Neutral-atom scattering factors, no anomalous dispersion.

Cell and atoms:
```
data_CaPmSbTe
_space_group_name_H-M_alt 'R 3 m'
_space_group_IT_number 160
_space_group_name_Hall 'R 3 -2"'
_cell_length_a 4.5223
_cell_length_b 4.5223
_cell_length_c 22.2273
_cell_angle_alpha 90.00
_cell_angle_beta 90.00
_cell_angle_gamma 120.00
loop_
_atom_site_label
_atom_site_fract_x
_atom_site_fract_y
_atom_site_fract_z
Ca1 0.0000 0.0000 0.0000
Pm1 0.0000 0.0000 0.4923
Sb1 0.0000 0.0000 0.7484
Te1 0.0000 0.0000 0.2466
```

Main lines, sorted by position (2θ = 10–90°):
2θ/deg	intensity	h k l
27.9	100	1 0 4
39.8	76	1 1 0
49.3	20	0 2 4
65.1	17	1 1 12
65.2	17	2 1 4
72.3	19	3 0 0

***

No. 10
For CaPm2Sc, a DFT-relaxed cell (PBE, Alexandria) gives the simulated powder X-ray diffraction pattern in this record (copper Kα).
Neutral-atom scattering factors, no anomalous dispersion.

Cell and atoms:
```
data_CaPm2Sc
_space_group_name_H-M_alt 'P 4/m m m'
_space_group_IT_number 123
_space_group_name_Hall '-P 4 2'
_cell_length_a 3.8990
_cell_length_b 3.8990
_cell_length_c 8.9061
_cell_angle_alpha 90.00
_cell_angle_beta 90.00
_cell_angle_gamma 90.00
loop_
_atom_site_label
_atom_site_fract_x
_atom_site_fract_y
_atom_site_fract_z
Ca1 0.0000 0.0000 0.0000
Pm1 0.5000 0.5000 0.2910
Sc1 0.0000 0.0000 0.5000
```

Main lines, sorted by position (2θ = 10–90°):
2θ/deg	intensity	h k l
22.8	36	1 0 0
30.5	100	1 0 2
32.5	52	1 1 0
38.1	20	1 0 3
46.6	19	2 0 0
56.7	33	2 1 2

***

No. 11
For Ca3Pm5Se8, a DFT-relaxed cell (PBE, Alexandria) gives the simulated powder X-ray diffraction pattern in this record (copper Kα).
Neutral-atom scattering factors, no anomalous dispersion.

Cell and atoms:
```
data_Ca3Pm5Se8
_space_group_name_H-M_alt 'R -3 m'
_space_group_IT_number 166
_space_group_name_Hall '-R 3 2"'
_cell_length_a 8.3594
_cell_length_b 8.3594
_cell_length_c 20.7113
_cell_angle_alpha 90.00
_cell_angle_beta 90.00
_cell_angle_gamma 120.00
loop_
_atom_site_label
_atom_site_fract_x
_atom_site_fract_y
_atom_site_fract_z
Ca1 0.0000 0.5000 0.0000
Pm1 0.0000 0.0000 0.0000
Pm2 0.0000 0.0000 0.5000
Pm3 0.0000 0.5000 0.5000
Se1 0.0000 0.0000 0.2514
Se2 0.0027 0.5014 0.2513
```

Main lines, sorted by position (2θ = 10–90°):
2θ/deg	intensity	h k l
30.1	100	0 2 4
43.0	37	2 0 8
43.3	37	2 2 0
53.6	19	4 0 4
70.8	17	2 2 12
71.3	16	2 4 4

***

No. 12
For CaPm2Se4, a DFT-relaxed cell (PBE, Alexandria) gives the simulated powder X-ray diffraction pattern in this record (copper Kα).
Neutral-atom scattering factors, no anomalous dispersion.

Cell and atoms:
```
data_CaPm2Se4
_space_group_name_H-M_alt 'C m c m'
_space_group_IT_number 63
_space_group_name_Hall '-C 2c 2'
_cell_length_a 4.1499
_cell_length_b 13.7549
_cell_length_c 14.2209
_cell_angle_alpha 90.00
_cell_angle_beta 90.00
_cell_angle_gamma 90.00
loop_
_atom_site_label
_atom_site_fract_x
_atom_site_fract_y
_atom_site_fract_z
Ca1 0.0000 0.1143 0.2500
Pm1 0.0000 0.3659 0.0724
Se1 0.0000 0.0000 0.0000
Se2 0.0000 0.2747 0.6204
Se3 0.0000 0.4660 0.2500
```

Main lines, sorted by position (2θ = 10–90°):
2θ/deg	intensity	h k l
22.8	70	0 2 3
28.3	62	0 2 4
29.0	53	1 3 0
29.7	71	1 3 1
31.7	93	1 3 2
43.9	100	0 6 3